Record 1
Structure and theoretical powder diffraction line list of CsGdH (a cell relaxed with PBE; CuKα).

Structural model:
```
CsGdH
1.0
14.6647 0.0000 0.0000
0.0000 3.8056 0.0000
0.0000 0.0000 6.5500
Cs Gd H
4 4 4
Direct
0.1345 0.0000 0.0000
0.1345 0.5000 0.5000
0.8655 0.0000 0.0000
0.8655 0.5000 0.5000
0.3950 0.0000 0.5551
0.3950 0.5000 0.0551
0.6050 0.0000 0.5551
0.6050 0.5000 0.0551
0.0000 0.0000 0.6622
0.0000 0.5000 0.1622
0.5000 0.0000 0.8888
0.5000 0.5000 0.3888
```

The 12 most intense peaks (15 to 90 degrees two-theta), by intensity:
| d_spacing | I_rel |
| --- | --- |
| 3.211 | 100.0 |
| 3.666 | 56.9 |
| 3.275 | 45.2 |
| 2.730 | 43.1 |
| 2.189 | 42.5 |
| 2.443 | 37.8 |
| 1.766 | 17.5 |
| 1.878 | 17.3 |
| 1.501 | 15.6 |
| 1.962 | 15.0 |
| 1.689 | 12.5 |
| 1.645 | 12.1 |



Record 2
Structure and theoretical powder diffraction line list of Cs3GdP2O8 (a cell relaxed with PBE; CuKα).

Structural model:
```
Cs3GdP2O8
1.0
10.4774 0.0000 0.0000
0.0000 10.5569 0.0000
-3.2463 0.0000 10.2227
Cs Gd P O
12 4 8 32
Direct
0.0086 0.0000 0.2953
0.0359 0.6447 0.1684
0.2692 0.9312 0.0636
0.2883 0.5136 0.5233
0.3300 0.3983 0.9575
0.4735 0.1009 0.7237
0.5265 0.6009 0.2763
0.6700 0.8983 0.0425
0.7117 0.0136 0.4767
0.7308 0.4312 0.9364
0.9641 0.1447 0.8316
0.9914 0.5000 0.7047
0.1584 0.8496 0.6624
0.3421 0.2054 0.3357
0.6579 0.7054 0.6643
0.8416 0.3496 0.3376
0.0963 0.3241 0.1477
0.1348 0.1979 0.5780
0.3613 0.8587 0.4232
0.4005 0.7217 0.8473
0.5995 0.2217 0.1527
0.6387 0.3587 0.5768
0.8652 0.6979 0.4220
0.9037 0.8241 0.8523
0.0090 0.7425 0.5019
0.0242 0.8426 0.7964
0.0577 0.3765 0.0074
0.1198 0.0608 0.6292
0.1397 0.1806 0.1551
0.1967 0.2873 0.6935
0.2226 0.1923 0.4838
0.2245 0.3921 0.2402
0.2710 0.6559 0.7564
0.2735 0.8683 0.5157
0.2958 0.7728 0.3055
0.3656 0.8676 0.8315
0.3836 0.9950 0.3747
0.4331 0.6809 0.9909
0.4772 0.1945 0.2037
0.4978 0.3057 0.4972
0.5022 0.8057 0.5028
0.5228 0.6945 0.7963
0.5669 0.1809 0.0091
0.6164 0.4950 0.6253
0.6344 0.3676 0.1685
0.7042 0.2728 0.6945
0.7265 0.3683 0.4843
0.7290 0.1559 0.2436
0.7755 0.8921 0.7598
0.7774 0.6923 0.5162
0.8033 0.7873 0.3065
0.8603 0.6806 0.8449
0.8802 0.5608 0.3708
0.9423 0.8765 0.9926
0.9758 0.3426 0.2036
0.9910 0.2425 0.4981
```

The 12 most intense peaks (15 to 90 degrees two-theta), by intensity:
| d_spacing | I_rel |
| --- | --- |
| 3.324 | 100.0 |
| 3.067 | 68.2 |
| 3.130 | 55.9 |
| 3.315 | 50.0 |
| 3.677 | 36.0 |
| 3.384 | 35.4 |
| 3.168 | 31.8 |
| 4.613 | 28.5 |
| 3.627 | 26.0 |
| 4.500 | 24.8 |
| 3.964 | 22.1 |
| 2.068 | 20.7 |



Record 3
Structure and theoretical powder diffraction line list of CsGe (a cell relaxed with PBE; CuKα).

Structural model:
```
CsGe
1.0
11.1625 0.0000 0.0000
0.0000 7.9028 0.0000
0.0000 0.0000 9.8229
Cs Ge
8 8
Direct
0.1567 0.2500 0.2472
0.1623 0.2500 0.7588
0.3377 0.7500 0.2588
0.3433 0.7500 0.7472
0.6567 0.2500 0.2528
0.6623 0.2500 0.7412
0.8377 0.7500 0.2412
0.8433 0.7500 0.7528
0.0921 0.5960 0.0009
0.0921 0.9040 0.0009
0.4079 0.0960 0.5009
0.4079 0.4040 0.5009
0.5921 0.5960 0.4991
0.5921 0.9040 0.4991
0.9079 0.0960 0.9991
0.9079 0.4040 0.9991
```

The 12 most intense peaks (15 to 90 degrees two-theta), by intensity:
| d_spacing | I_rel |
| --- | --- |
| 3.341 | 100.0 |
| 3.079 | 40.1 |
| 2.382 | 27.5 |
| 4.559 | 27.0 |
| 2.456 | 19.8 |
| 1.710 | 19.4 |
| 3.687 | 18.8 |
| 2.631 | 18.1 |
| 3.951 | 16.5 |
| 1.785 | 15.3 |
| 1.796 | 14.6 |
| 1.833 | 12.4 |



Record 4
Structure and theoretical powder diffraction line list of CsGe (a cell relaxed with PBE; CuKα).

Structural model:
```
CsGe
1.0
-5.8289 5.8289 9.4637
5.8289 -5.8289 9.4637
5.8289 5.8289 -9.4637
Cs Ge
16 16
Direct
0.0039 0.2539 0.5078
0.1094 0.7500 0.8594
0.2461 0.4961 0.9922
0.2500 0.1094 0.8594
0.2500 0.6094 0.3594
0.2539 0.2461 0.2500
0.3906 0.2500 0.6406
0.4961 0.0039 0.2500
0.5039 0.9961 0.7500
0.6094 0.7500 0.3594
0.7461 0.7539 0.7500
0.7500 0.3906 0.6406
0.7500 0.8906 0.1406
0.7539 0.5039 0.0078
0.8906 0.2500 0.1406
0.9961 0.7461 0.4922
0.0177 0.7307 0.0961
0.0785 0.9823 0.2130
0.1346 0.9215 0.4039
0.2307 0.5177 0.5961
0.2693 0.8654 0.2870
0.3654 0.7693 0.7870
0.4215 0.6346 0.9039
0.4823 0.5785 0.7130
0.5177 0.4215 0.2870
0.5785 0.3654 0.0961
0.6346 0.2307 0.2130
0.7307 0.1346 0.7130
0.7693 0.4823 0.4039
0.8654 0.0785 0.5961
0.9215 0.0177 0.7870
0.9823 0.2693 0.9039
```

The 12 most intense peaks (15 to 90 degrees two-theta), by intensity:
| d_spacing | I_rel |
| --- | --- |
| 3.187 | 100.0 |
| 3.063 | 88.6 |
| 4.019 | 59.1 |
| 2.785 | 32.8 |
| 3.674 | 32.7 |
| 2.913 | 26.0 |
| 1.889 | 23.8 |
| 1.690 | 23.8 |
| 3.435 | 22.5 |
| 2.482 | 20.4 |
| 1.240 | 20.0 |
| 1.764 | 18.9 |



Record 5
Structure and theoretical powder diffraction line list of CsGe (a cell relaxed with PBE; CuKα).

Structural model:
```
CsGe
1.0
4.1442 0.0000 0.0000
0.0000 6.4357 0.0000
0.0000 0.0000 11.5644
Cs Ge
4 4
Direct
0.0000 0.2500 0.0895
0.0000 0.7500 0.9105
0.5000 0.2500 0.4105
0.5000 0.7500 0.5895
0.0000 0.2500 0.6896
0.0000 0.7500 0.3104
0.5000 0.2500 0.8104
0.5000 0.7500 0.1896
```

The 12 most intense peaks (15 to 90 degrees two-theta), by intensity:
| d_spacing | I_rel |
| --- | --- |
| 2.984 | 100.0 |
| 3.307 | 59.2 |
| 3.218 | 45.1 |
| 1.711 | 25.2 |
| 3.901 | 23.4 |
| 1.809 | 22.8 |
| 2.020 | 21.3 |
| 1.756 | 18.7 |
| 1.742 | 14.9 |
| 2.482 | 13.9 |
| 2.072 | 12.9 |
| 1.875 | 11.5 |



Record 6
Structure and theoretical powder diffraction line list of CsGeH2 (a cell relaxed with PBE; CuKα).

Structural model:
```
CsGeH2
1.0
8.4737 0.0000 0.0000
0.0000 10.8778 0.0000
-3.6848 0.0000 4.2288
Cs Ge H
4 4 8
Direct
0.0000 0.1489 0.0000
0.0000 0.8511 0.5000
0.5000 0.3511 0.5000
0.5000 0.6489 0.0000
0.9999 0.4895 0.5014
0.9999 0.5105 0.0014
0.4999 0.0105 0.0014
0.4999 0.9895 0.5014
0.1874 0.3887 0.6881
0.1874 0.6113 0.1881
0.3124 0.1112 0.8149
0.3124 0.8888 0.3149
0.6874 0.1113 0.1881
0.6874 0.8887 0.6881
0.8124 0.3888 0.3149
0.8124 0.6112 0.8149
```

The 12 most intense peaks (15 to 90 degrees two-theta), by intensity:
| d_spacing | I_rel |
| --- | --- |
| 3.153 | 100.0 |
| 4.985 | 75.5 |
| 3.194 | 55.5 |
| 3.338 | 55.3 |
| 3.325 | 54.7 |
| 2.100 | 48.4 |
| 2.804 | 41.2 |
| 2.092 | 31.1 |
| 1.836 | 21.0 |
| 2.114 | 17.3 |
| 2.697 | 17.3 |
| 2.028 | 17.2 |



Record 7
Structure and theoretical powder diffraction line list of CsHgGeSe4 (a cell relaxed with PBE; CuKα).

Structural model:
```
CsHgGeSe4
1.0
6.9980 0.0000 0.0000
0.0000 6.6675 0.0000
-2.8503 0.0000 10.4703
Cs Hg Ge Se
2 2 2 8
Direct
0.2164 0.2500 0.0343
0.7836 0.7500 0.9657
0.2526 0.2500 0.6512
0.7474 0.7500 0.3488
0.2308 0.7500 0.3049
0.7692 0.2500 0.6951
0.0031 0.0213 0.2958
0.0031 0.4787 0.2958
0.3869 0.7500 0.1372
0.4938 0.2500 0.5007
0.5062 0.7500 0.4993
0.6131 0.2500 0.8628
0.9969 0.5213 0.7042
0.9969 0.9787 0.7042
```

The 12 most intense peaks (15 to 90 degrees two-theta), by intensity:
| d_spacing | I_rel |
| --- | --- |
| 5.624 | 100.0 |
| 2.733 | 62.1 |
| 3.694 | 57.6 |
| 3.493 | 55.8 |
| 2.156 | 52.8 |
| 4.744 | 45.1 |
| 2.924 | 42.4 |
| 3.334 | 40.4 |
| 2.372 | 39.3 |
| 4.118 | 32.0 |
| 2.989 | 25.7 |
| 1.813 | 24.8 |



Record 8
Structure and theoretical powder diffraction line list of Cs2GeI4 (a cell relaxed with PBE; CuKα).

Structural model:
```
Cs2GeI4
1.0
8.3119 0.0000 0.0000
0.0000 8.1306 0.0000
-3.4097 0.0000 10.7968
Cs Ge I
4 2 8
Direct
0.1334 0.2500 0.4325
0.2747 0.7500 0.0700
0.7253 0.2500 0.9300
0.8666 0.7500 0.5675
0.4550 0.7500 0.6794
0.5450 0.2500 0.3206
0.2177 0.2500 0.1052
0.2340 0.7500 0.4118
0.2927 0.9995 0.7590
0.2927 0.5005 0.7590
0.7073 0.0005 0.2410
0.7073 0.4995 0.2410
0.7660 0.2500 0.5882
0.7823 0.7500 0.8948
```

The 12 most intense peaks (15 to 90 degrees two-theta), by intensity:
| d_spacing | I_rel |
| --- | --- |
| 3.296 | 100.0 |
| 2.959 | 94.7 |
| 3.727 | 93.5 |
| 3.963 | 84.8 |
| 2.770 | 80.6 |
| 3.581 | 77.4 |
| 3.247 | 76.6 |
| 4.065 | 36.4 |
| 2.033 | 35.4 |
| 1.978 | 34.4 |
| 1.675 | 34.3 |
| 2.249 | 32.2 |